1.
Calculated XRD peak list
Compound: MgVP2O7
Radiation: CuKα
Structure: a cell relaxed with GGA+U

Cell and atoms:
```
data_MgVP2O7
_chemical_formula_sum 'Mg2 V2 P4 O14'
_symmetry_space_group_name_H-M 'C 1 2 1'
_symmetry_Int_Tables_number 5
_symmetry_space_group_name_Hall 'C 2y'
_cell_length_a 6.7468
_cell_length_b 8.6615
_cell_length_c 4.6415
_cell_angle_alpha 90.00
_cell_angle_beta 101.69
_cell_angle_gamma 90.00
loop_
_atom_site_label
_atom_site_fract_x
_atom_site_fract_y
_atom_site_fract_z
Mg1 0.0000 0.0000 0.0000
V1 0.0000 0.3717 0.5000
P1 0.2110 0.7092 0.9016
O1 0.0000 0.7611 0.0000
O2 0.1327 0.1905 0.8083
O3 0.1969 0.5494 0.7570
O4 0.2361 0.8486 0.7143
```

Principal peaks in the range 2θ = 5–70°, in order of falling intensity:
(hkl)  two_theta  I (rel.)
1 1 1  28.0  100
0 2 1  28.5  66
1 1 -1  23.7  60
2 0 -1  30.0  45
0 4 1  46.5  30
0 2 0  20.5  29
3 1 -1  43.1  28
2 2 0  34.1  27
0 0 1  19.5  25
1 3 2  55.4  23

=====

2.
Calculated XRD peak list
Compound: Li7Ni5O12
Radiation: CuKα
Structure: a cell relaxed with GGA+U

Cell and atoms:
```
data_Li7Ni5O12
_chemical_formula_sum 'Li7 Ni5 O12'
_symmetry_space_group_name_H-M 'P -1'
_symmetry_Int_Tables_number 2
_symmetry_space_group_name_Hall '-P 1'
_cell_length_a 5.7710
_cell_length_b 6.3687
_cell_length_c 6.4662
_cell_angle_alpha 96.58
_cell_angle_beta 116.44
_cell_angle_gamma 103.06
loop_
_atom_site_label
_atom_site_fract_x
_atom_site_fract_y
_atom_site_fract_z
Li1 0.0000 0.0000 0.0000
Li2 0.2474 0.3272 0.8357
Li3 0.2483 0.6696 0.1647
Li4 0.2532 0.0021 0.5032
Ni1 0.9995 0.3321 0.3306
Ni2 0.4964 0.3335 0.3292
Ni3 0.5000 0.0000 0.0000
O1 0.1308 0.6520 0.4382
O2 0.1384 0.3371 0.1128
O3 0.1439 0.9821 0.7614
O4 0.3746 0.3497 0.5795
O5 0.3795 0.6873 0.9188
O6 0.3918 0.0193 0.2394
```

Principal peaks in the range 2θ = 5–70°, in order of falling intensity:
(hkl)  two_theta  I (rel.)
0 1 -1  18.8  100
2 0 -3  44.3  54
-2 1 2  36.6  28
0 3 0  45.2  25
2 2 1  65.6  14
2 3 -3  64.8  14
0 2 1  37.3  12
2 -2 2  58.6  10
2 2 -2  48.9  9
-2 2 1  38.4  8

=====

3.
Calculated XRD peak list
Compound: LiMnF4
Radiation: CuKα
Structure: a cell relaxed with GGA+U

Cell and atoms:
```
data_LiMnF4
_chemical_formula_sum 'Li6 Mn6 F24'
_symmetry_space_group_name_H-M 'P -1'
_symmetry_Int_Tables_number 2
_symmetry_space_group_name_Hall '-P 1'
_cell_length_a 6.9107
_cell_length_b 8.4210
_cell_length_c 9.7213
_cell_angle_alpha 96.96
_cell_angle_beta 106.86
_cell_angle_gamma 100.80
loop_
_atom_site_label
_atom_site_fract_x
_atom_site_fract_y
_atom_site_fract_z
Li1 0.0036 0.0126 0.2665
Li2 0.1898 0.5994 0.3491
Li3 0.4771 0.6821 0.8651
Mn1 0.0364 0.6958 0.9908
Mn2 0.2367 0.3099 0.5747
Mn3 0.4699 0.9012 0.2308
F1 0.0454 0.7234 0.4288
F2 0.0449 0.8349 0.8602
F3 0.0465 0.5531 0.1354
F4 0.1818 0.1111 0.4506
F5 0.1840 0.8955 0.1926
F6 0.2367 0.3037 0.0285
F7 0.2622 0.1262 0.7449
F8 0.2726 0.4278 0.4247
F9 0.3264 0.4908 0.7248
F10 0.3349 0.7213 0.0271
F11 0.4512 0.7353 0.3461
F12 0.4690 0.8872 0.7967
```

Principal peaks in the range 2θ = 5–70°, in order of falling intensity:
(hkl)  two_theta  I (rel.)
1 0 -2  19.9  100
-1 1 1  16.9  82
0 1 2  24.1  75
1 -1 1  19.5  68
0 3 -3  40.2  57
0 2 -2  26.5  55
3 -1 0  41.0  47
0 1 -1  13.2  41
0 1 1  15.9  41
0 3 2  41.8  40